(1)
# LiNiO2
Computed powder diffractogram, λ = 1.5418 Å (Cu Kα). Input: a crystal structure in the Materials Project, relaxed with PBE+U.
No peak broadening, texture or thermal motion is included.

The 8 most intense peaks (2θ = 15–90°), sorted by position:
24.04 deg, rel. 100, (0 0 1)
24.58 deg, rel. 95, (1 1 0)
38.04 deg, rel. 43, (3 1 -1)
43.66 deg, rel. 49, (2 0 -2)
44.04 deg, rel. 44, (4 0 0)
44.94 deg, rel. 44, (0 2 0)
63.75 deg, rel. 25, (2 0 2)
64.45 deg, rel. 26, (2 2 -2)

Cell and atoms:
```
data_LiNiO2
_chemical_formula_sum 'Li4 Ni4 O8'
_symmetry_space_group_name_H-M 'C 1 2/m 1'
_symmetry_Int_Tables_number 12
_symmetry_space_group_name_Hall '-C 2y'
_cell_length_a 9.2106
_cell_length_b 4.0344
_cell_length_c 4.1460
_cell_angle_alpha 90.00
_cell_angle_beta 116.74
_cell_angle_gamma 90.00
loop_
_atom_site_label
_atom_site_type_symbol
_atom_site_fract_x
_atom_site_fract_y
_atom_site_fract_z
_atom_site_occupancy
Li1 Li 0.1248 0.0000 0.3753 1
Ni1 Ni 0.1248 0.5000 0.8752 1
O1 O 0.1044 0.5000 0.3554 1
O2 O 0.1446 0.0000 0.8944 1
```

***

(2)
# LiNiO2
Computed powder diffractogram, λ = 1.5418 Å (Cu Kα). Input: a crystal structure in the Materials Project, relaxed with PBE+U.
No peak broadening, texture or thermal motion is included.

The 8 most intense peaks (2θ = 15–90°), sorted by position:
18.73 deg, rel. 100, (0 1 -1)
36.12 deg, rel. 15, (1 1 1)
36.22 deg, rel. 14, (-1 1 2)
43.95 deg, rel. 24, (1 2 0)
44.06 deg, rel. 24, (1 0 -3)
44.25 deg, rel. 23, (2 -2 1)
48.30 deg, rel. 14, (2 1 -2)
64.22 deg, rel. 19, (-3 2 2)

Cell and atoms:
```
data_LiNiO2
_chemical_formula_sum 'Li5 Ni5 O10'
_symmetry_space_group_name_H-M 'P -1'
_symmetry_Int_Tables_number 2
_symmetry_space_group_name_Hall '-P 1'
_cell_length_a 5.0204
_cell_length_b 5.8025
_cell_length_c 6.4991
_cell_angle_alpha 102.70
_cell_angle_beta 97.42
_cell_angle_gamma 106.51
loop_
_atom_site_label
_atom_site_type_symbol
_atom_site_fract_x
_atom_site_fract_y
_atom_site_fract_z
_atom_site_occupancy
Li1 Li 0.0000 0.0000 0.0000 1
Li2 Li 0.2009 0.3991 0.3973 1
Li3 Li 0.3958 0.7962 0.7973 1
Ni1 Ni 0.0000 0.5000 0.0000 1
Ni2 Ni 0.1989 0.8987 0.3992 1
Ni3 Ni 0.4018 0.3010 0.7993 1
O1 O 0.0958 0.4406 0.7172 1
O2 O 0.1001 0.9685 0.6838 1
O3 O 0.2872 0.8300 0.1107 1
O4 O 0.2948 0.3669 0.0894 1
O5 O 0.4946 0.7687 0.4925 1
```

***

(3)
# Li2NiO2
Computed powder diffractogram, λ = 1.5418 Å (Cu Kα). Input: a crystal structure in the Materials Project, relaxed with PBE+U.
No peak broadening, texture or thermal motion is included.

The 8 most intense peaks (2θ = 15–90°), sorted by position:
34.03 deg, rel. 26, (1 0 1)
35.00 deg, rel. 65, (0 1 2)
38.69 deg, rel. 26, (1 0 4)
41.27 deg, rel. 100, (0 1 5)
47.59 deg, rel. 26, (1 0 7)
51.23 deg, rel. 39, (0 1 8)
60.27 deg, rel. 32, (1 1 0)
62.16 deg, rel. 28, (1 1 3)

Cell and atoms:
```
data_Li2NiO2
_chemical_formula_sum 'Li6 Ni3 O6'
_symmetry_space_group_name_H-M 'R -3 m'
_symmetry_Int_Tables_number 166
_symmetry_space_group_name_Hall '-R 3 2"'
_cell_length_a 3.0711
_cell_length_b 3.0711
_cell_length_c 19.2268
_cell_angle_alpha 90.00
_cell_angle_beta 90.00
_cell_angle_gamma 120.00
loop_
_atom_site_label
_atom_site_type_symbol
_atom_site_fract_x
_atom_site_fract_y
_atom_site_fract_z
_atom_site_occupancy
Li1 Li 0.0000 0.0000 0.2372 1
Ni1 Ni 0.0000 0.0000 0.0000 1
O1 O 0.0000 0.0000 0.3965 1
```